(1)
The following is a computed powder X-ray diffraction pattern of In3Hg5Bi. It was derived from a crystal structure in Alexandria, relaxed with GGA-PBE, using Cu Kα.
Lines closer than 0.1° are merged.

Cell and atoms:
Cell lengths 10.239, 10.239, 10.239 Å; angles 135.81, 135.81, 64.27 degrees
Positions (direct):
In 0.134 0.634 0.769
In 0.250 0.250 0.000
In 0.366 0.134 0.500
In 0.634 0.866 0.500
In 0.750 0.750 0.000
In 0.866 0.366 0.231
Hg 0.000 0.000 0.000
Hg 0.076 0.148 0.500
Hg 0.148 0.648 0.072
Hg 0.352 0.424 0.500
Hg 0.424 0.924 0.072
Hg 0.500 0.500 0.000
Hg 0.576 0.076 0.928
Hg 0.648 0.576 0.500
Hg 0.852 0.352 0.928
Hg 0.924 0.852 0.500
Bi 0.250 0.750 0.500
Bi 0.750 0.250 0.500

Largest 12 diffraction maxima, most intense first, 2θ from 10° to 90°:
2θ = 31.1°, d = 2.879 Å, rel. 100; 2θ = 32.9°, d = 2.723 Å, rel. 43; 2θ = 30.2°, d = 2.959 Å, rel. 33; 2θ = 57.6°, d = 1.601 Å, rel. 24; 2θ = 54.1°, d = 1.696 Å, rel. 17; 2θ = 41.7°, d = 2.168 Å, rel. 16; 2θ = 38.4°, d = 2.345 Å, rel. 13; 2θ = 51.4°, d = 1.778 Å, rel. 12; 2θ = 39.0°, d = 2.311 Å, rel. 10; 2θ = 86.3°, d = 1.128 Å, rel. 9; 2θ = 48.9°, d = 1.863 Å, rel. 9; 2θ = 36.8°, d = 2.444 Å, rel. 8

=====

(2)
The following is a computed powder X-ray diffraction pattern of In16Hg6Bi7. It was derived from a crystal structure in Alexandria, relaxed with GGA-PBE, using Cu Kα.
Lines closer than 0.1° are merged.

Cell and atoms:
Cell lengths 10.776, 10.776, 10.776 Å; angles 60.00, 60.00, 60.00 degrees
Positions (direct):
In 0.116 0.116 0.116
In 0.116 0.116 0.651
In 0.116 0.628 0.628
In 0.116 0.651 0.116
In 0.349 0.884 0.884
In 0.372 0.372 0.372
In 0.372 0.372 0.884
In 0.372 0.884 0.372
In 0.628 0.116 0.628
In 0.628 0.628 0.116
In 0.628 0.628 0.628
In 0.651 0.116 0.116
In 0.884 0.349 0.884
In 0.884 0.372 0.372
In 0.884 0.884 0.349
In 0.884 0.884 0.884
Hg 0.253 0.253 0.747
Hg 0.253 0.747 0.253
Hg 0.253 0.747 0.747
Hg 0.747 0.253 0.253
Hg 0.747 0.253 0.747
Hg 0.747 0.747 0.253
Bi 0.000 0.000 0.500
Bi 0.000 0.500 0.000
Bi 0.000 0.500 0.500
Bi 0.500 0.000 0.000
Bi 0.500 0.000 0.500
Bi 0.500 0.500 0.000
Bi 0.500 0.500 0.500

Largest 12 diffraction maxima, most intense first, 2θ from 10° to 90°:
2θ = 33.3°, d = 2.694 Å, rel. 100; 2θ = 59.4°, d = 1.555 Å, rel. 36; 2θ = 47.7°, d = 1.905 Å, rel. 18; 2θ = 79.6°, d = 1.205 Å, rel. 15; 2θ = 69.8°, d = 1.347 Å, rel. 11; 2θ = 16.5°, d = 5.388 Å, rel. 9; 2θ = 28.7°, d = 3.111 Å, rel. 6; 2θ = 89.0°, d = 1.100 Å, rel. 4; 2θ = 23.3°, d = 3.810 Å, rel. 4; 2θ = 37.3°, d = 2.410 Å, rel. 3; 2θ = 44.5°, d = 2.036 Å, rel. 3; 2θ = 53.8°, d = 1.704 Å, rel. 2

=====

(3)
The following is a computed powder X-ray diffraction pattern of In6HgBi2. It was derived from a crystal structure in Alexandria, relaxed with GGA-PBE, using Cu Kα.
Lines closer than 0.1° are merged.

Cell and atoms:
Cell lengths 9.998, 10.038, 5.150 Å; angles 90.00, 90.00, 90.00 degrees
Positions (direct):
In 0.017 0.166 0.000
In 0.148 0.648 0.500
In 0.166 0.983 0.500
In 0.334 0.483 0.000
In 0.352 0.148 0.000
In 0.483 0.666 0.500
In 0.517 0.334 0.500
In 0.648 0.852 0.000
In 0.666 0.517 0.000
In 0.834 0.017 0.500
In 0.852 0.352 0.500
In 0.983 0.834 0.000
Hg 0.000 0.500 0.000
Hg 0.500 0.000 0.500
Bi 0.184 0.317 0.500
Bi 0.316 0.817 0.000
Bi 0.684 0.183 0.000
Bi 0.816 0.683 0.500

Largest 12 diffraction maxima, most intense first, 2θ from 10° to 90°:
2θ = 31.9°, d = 2.802 Å, rel. 100; 2θ = 38.1°, d = 2.361 Å, rel. 29; 2θ = 52.6°, d = 1.740 Å, rel. 23; 2θ = 34.8°, d = 2.575 Å, rel. 21; 2θ = 60.7°, d = 1.527 Å, rel. 16; 2θ = 64.9°, d = 1.436 Å, rel. 10; 2θ = 65.1°, d = 1.433 Å, rel. 10; 2θ = 33.2°, d = 2.698 Å, rel. 7; 2θ = 86.0°, d = 1.130 Å, rel. 6; 2θ = 66.7°, d = 1.403 Å, rel. 5; 2θ = 54.9°, d = 1.673 Å, rel. 5; 2θ = 66.9°, d = 1.399 Å, rel. 5

=====

(4)
The following is a computed powder X-ray diffraction pattern of In7Hg2Bi. It was derived from a crystal structure in Alexandria, relaxed with GGA-PBE, using Cu Kα.
Lines closer than 0.1° are merged.

Cell and atoms:
Cell lengths 8.783, 8.783, 11.023 Å; angles 105.02, 105.02, 43.03 degrees
Positions (direct):
In 0.074 0.737 0.452
In 0.094 0.906 0.750
In 0.224 0.563 0.941
In 0.231 0.363 0.636
In 0.263 0.926 0.048
In 0.363 0.231 0.136
In 0.437 0.776 0.559
In 0.563 0.224 0.441
In 0.637 0.769 0.864
In 0.737 0.074 0.952
In 0.769 0.637 0.364
In 0.776 0.437 0.059
In 0.906 0.094 0.250
In 0.926 0.263 0.548
Hg 0.130 0.259 0.846
Hg 0.259 0.130 0.346
Hg 0.741 0.870 0.654
Hg 0.870 0.741 0.154
Bi 0.406 0.594 0.250
Bi 0.594 0.406 0.750

Largest 12 diffraction maxima, most intense first, 2θ from 10° to 90°:
2θ = 32.6°, d = 2.751 Å, rel. 100; 2θ = 32.0°, d = 2.801 Å, rel. 87; 2θ = 33.7°, d = 2.657 Å, rel. 77; 2θ = 30.3°, d = 2.951 Å, rel. 56; 2θ = 35.6°, d = 2.525 Å, rel. 42; 2θ = 37.8°, d = 2.379 Å, rel. 35; 2θ = 59.7°, d = 1.548 Å, rel. 25; 2θ = 41.7°, d = 2.166 Å, rel. 23; 2θ = 32.9°, d = 2.722 Å, rel. 19; 2θ = 36.1°, d = 2.488 Å, rel. 18; 2θ = 65.4°, d = 1.428 Å, rel. 18; 2θ = 56.6°, d = 1.627 Å, rel. 16